[1]
For Pr4Tm2Th, the GGA-PBE geometry in Alexandria gives the computed X-ray diffraction stick pattern in this record (a wavelength of 1.5418 Å).
Lines closer than 0.1° are merged.

Largest 12 diffraction maxima, most intense first, 2θ from 5° to 70°:
| two_theta | I_rel |
| --- | --- |
| 30.93 | 100.0 |
| 31.51 | 96.0 |
| 34.26 | 78.3 |
| 53.55 | 40.0 |
| 58.93 | 31.6 |
| 59.99 | 30.7 |
| 39.85 | 23.6 |
| 48.43 | 19.6 |
| 9.78 | 13.9 |
| 50.03 | 13.6 |
| 11.77 | 13.1 |
| 22.94 | 11.3 |

Structural model:
Unit cell a=3.646 b=7.518 c=9.048 alpha=90.00 beta=90.00 gamma=90.00
Space group Pmmm (No. 47)
Unique sites:
Pr  0.000  0.240  0.232 (multiplicity 4)
Tm  0.500  0.000  0.500 (multiplicity 1)
Tm  0.500  0.500  0.000 (multiplicity 1)
Th  0.500  0.500  0.500 (multiplicity 1)



[2]
For Dy2Y3Ag2, the GGA-PBE geometry in Alexandria gives the computed X-ray diffraction stick pattern in this record (a wavelength of 1.5418 Å).
Lines closer than 0.1° are merged.

Largest 12 diffraction maxima, most intense first, 2θ from 5° to 70°:
| two_theta | I_rel |
| --- | --- |
| 33.43 | 100.0 |
| 33.27 | 86.1 |
| 59.69 | 49.3 |
| 47.88 | 30.5 |
| 19.50 | 12.4 |
| 59.35 | 10.1 |
| 36.60 | 9.4 |
| 27.21 | 7.9 |
| 69.85 | 6.2 |
| 59.01 | 5.7 |
| 61.84 | 4.0 |
| 50.40 | 3.8 |

Structural model:
Unit cell a=5.3615 b=5.3615 c=23.1402 alpha=90.00 beta=90.00 gamma=120.00
Space group R-3m (No. 166, hexagonal axes)
Unique sites:
Dy  0.0000  0.0000  0.0758 (multiplicity 6)
Y  0.0000  0.0000  0.3387 (multiplicity 6)
Y  0.0000  0.0000  0.5000 (multiplicity 3)
Ag  0.0000  0.0000  0.2118 (multiplicity 6)



[3]
For MgPdSe, the GGA-PBE geometry in Alexandria gives the computed X-ray diffraction stick pattern in this record (a wavelength of 1.5418 Å).
Lines closer than 0.1° are merged.

Largest 12 diffraction maxima, most intense first, 2θ from 5° to 70°:
| two_theta | I_rel |
| --- | --- |
| 14.38 | 100.0 |
| 25.69 | 94.4 |
| 41.68 | 73.1 |
| 35.38 | 72.1 |
| 43.83 | 71.5 |
| 27.07 | 46.4 |
| 22.95 | 41.1 |
| 44.73 | 37.7 |
| 44.10 | 33.6 |
| 32.92 | 31.4 |
| 41.10 | 25.7 |
| 48.52 | 24.6 |

Structural model:
Unit cell a=7.210 b=5.568 c=6.403 alpha=90.00 beta=105.85 gamma=90.00
Space group C2 (No. 5)
Unique sites:
Mg  0.078  0.000  0.270 (multiplicity 4)
Pd  0.204  0.708  0.984 (multiplicity 4)
Se  0.211  0.461  0.308 (multiplicity 4)



[4]
For Er4Sc3, the GGA-PBE geometry in Alexandria gives the computed X-ray diffraction stick pattern in this record (a wavelength of 1.5418 Å).
Lines closer than 0.1° are merged.

Largest 12 diffraction maxima, most intense first, 2θ from 5° to 70°:
| two_theta | I_rel |
| --- | --- |
| 32.23 | 100.0 |
| 37.13 | 34.0 |
| 63.86 | 27.2 |
| 54.10 | 22.8 |
| 19.06 | 20.8 |
| 37.91 | 16.1 |
| 64.92 | 13.0 |
| 53.51 | 11.7 |
| 67.44 | 11.6 |
| 26.28 | 9.8 |
| 44.46 | 8.1 |
| 22.26 | 5.9 |

Structural model:
Unit cell a=3.426 b=4.747 c=23.964 alpha=90.00 beta=90.00 gamma=90.00
Space group Immm (No. 71)
Unique sites:
Er  0.000  0.000  0.071 (multiplicity 4)
Er  0.000  0.000  0.212 (multiplicity 4)
Sc  0.000  0.000  0.358 (multiplicity 4)
Sc  0.000  0.000  0.500 (multiplicity 2)



[5]
For Sr2Sb3Pd3, the GGA-PBE geometry in Alexandria gives the computed X-ray diffraction stick pattern in this record (a wavelength of 1.5418 Å).
Lines closer than 0.1° are merged.

Largest 12 diffraction maxima, most intense first, 2θ from 5° to 70°:
| two_theta | I_rel |
| --- | --- |
| 28.28 | 100.0 |
| 43.14 | 52.0 |
| 40.42 | 37.8 |
| 31.89 | 30.2 |
| 52.39 | 29.1 |
| 66.22 | 17.1 |
| 7.88 | 14.6 |
| 68.19 | 13.0 |
| 58.50 | 12.5 |
| 49.85 | 7.0 |
| 58.31 | 4.2 |
| 40.16 | 3.5 |

Structural model:
Unit cell a=3.156 b=3.156 c=22.447 alpha=90.00 beta=90.00 gamma=90.00
Space group P4/mmm (No. 123)
Unique sites:
Sr  0.000  0.000  0.240 (multiplicity 2)
Sb  0.000  0.000  0.000 (multiplicity 1)
Sb  0.000  0.000  0.385 (multiplicity 2)
Pd  0.000  0.000  0.116 (multiplicity 2)
Pd  0.000  0.000  0.500 (multiplicity 1)



[6]
For Ba3Sn11, the GGA-PBE geometry in Alexandria gives the computed X-ray diffraction stick pattern in this record (a wavelength of 1.5418 Å).
Lines closer than 0.1° are merged.

Largest 12 diffraction maxima, most intense first, 2θ from 5° to 70°:
| two_theta | I_rel |
| --- | --- |
| 29.07 | 100.0 |
| 33.98 | 48.1 |
| 35.97 | 46.4 |
| 31.15 | 29.4 |
| 28.71 | 25.6 |
| 50.31 | 21.6 |
| 37.60 | 20.9 |
| 29.30 | 20.1 |
| 56.28 | 17.3 |
| 28.41 | 15.4 |
| 57.82 | 14.8 |
| 30.27 | 13.1 |

Structural model:
Unit cell a=5.277 b=11.543 c=14.983 alpha=90.00 beta=90.00 gamma=90.00
Space group Immm (No. 71)
Unique sites:
Ba  0.000  0.000  0.000 (multiplicity 2)
Ba  0.000  0.000  0.309 (multiplicity 4)
Sn  0.000  0.199  0.500 (multiplicity 4)
Sn  0.000  0.276  0.142 (multiplicity 8)
Sn  0.000  0.362  0.341 (multiplicity 8)
Sn  0.000  0.500  0.000 (multiplicity 2)